# Sm2Tm4Pb3O2
Computed powder XRD pattern, CuKα. Input: the GGA-PBE geometry in Alexandria.
Intensities are scaled so that the largest is 100.

Cell and atoms:
```
Sm2Tm4Pb3O2
1.0
-2.3090 2.3090 12.7393
2.3090 -2.3090 12.7393
2.3090 2.3090 -12.7393
Sm Tm Pb O
2 4 3 2
direct
0.1946 0.1946 0.0000
0.8054 0.8054 0.0000
0.0827 0.5827 0.5000
0.4173 0.9173 0.5000
0.5827 0.0827 0.5000
0.9173 0.4173 0.5000
0.3238 0.3238 0.0000
0.5000 0.5000 0.0000
0.6762 0.6762 0.0000
0.0927 0.0927 0.0000
0.9073 0.9073 0.0000
```

Largest 8 diffraction maxima, sorted by position, 2θ = 10–80°:
Position (°2θ), I/Imax
28.02, 14
28.21, 32
30.77, 14
31.29, 15
34.65, 100
39.01, 50
56.35, 17
67.87, 29